Structure and simulated powder diffraction line list of CaSmTlPb (a cell relaxed with GGA-PBE; Cu Kα X-rays).
Peak positions follow from Bragg's law for the DFT cell and can differ from measured ones.

Crystal structure
a = 4.4449 Å, b = 5.1138 Å, c = 5.1732 Å
α = 90.00°, β = 90.00°, γ = 90.00°
Space group Pmmm (No. 47)
Inequivalent atoms, fractional coordinates:
Ca (0.0000, 0.0000, 0.0000)
Sm (0.0000, 0.5000, 0.5000)
Tl (0.5000, 0.5000, 0.0000)
Pb (0.5000, 0.0000, 0.5000)

Most intense lines, 2θ from 10° to 90°, in order of rising 2θ:
(0 1 1), d 3.637, 2θ 24.48, intensity 12; (1 1 1), d 2.815, 2θ 31.79, intensity 100; (0 0 2), d 2.587, 2θ 34.68, intensity 20; (0 2 0), d 2.557, 2θ 35.10, intensity 19; (2 0 0), d 2.222, 2θ 40.59, intensity 13; (0 2 2), d 1.818, 2θ 50.17, intensity 14; (2 0 2), d 1.685, 2θ 54.45, intensity 14; (1 1 3), d 1.534, 2θ 60.35, intensity 16; (1 3 1), d 1.521, 2θ 60.90, intensity 16; (2 2 2), d 1.407, 2θ 66.43, intensity 12